Record 1
For K3Tl2Cl8, the PBE geometry in Alexandria gives the simulated powder X-ray diffraction pattern in this record (λ = 1.5418 Å (Cu Kα)).

Most intense lines, 10° ≤ 2θ ≤ 80°, by angle:
2theta	intensity
13.66	80
18.83	46
20.04	30
21.36	57
23.05	100
31.63	49
35.71	32
36.38	37
39.50	36
47.10	30

Unit cell a=7.7172 b=7.7172 c=26.5800 alpha=90.00 beta=90.00 gamma=120.00
Space group R-3m (No. 166, hexagonal axes)
Inequivalent atoms, fractional coordinates:
K: 0.0000 0.0000 0.0000 x3
K: 0.0000 0.0000 0.1986 x6
Tl: 0.0000 0.0000 0.4081 x6
Cl: 0.0000 0.0000 0.3119 x6
Cl: 0.0365 0.5182 0.7686 x18

Record 2
For KTlVCl6, the PBE geometry in Alexandria gives the simulated powder X-ray diffraction pattern in this record (λ = 1.5418 Å (Cu Kα)).

Most intense lines, 10° ≤ 2θ ≤ 80°, by angle:
2theta	intensity
13.92	31
19.90	100
24.22	21
28.17	26
31.55	28
31.89	17
37.78	41
40.17	38
42.62	16
53.98	14

Unit cell a=7.3483 b=7.3483 c=6.2542 alpha=90.00 beta=90.00 gamma=120.00
Space group P312 (No. 149)
Inequivalent atoms, fractional coordinates:
K: 0.0000 0.0000 0.0000 x1
Tl: 0.6667 0.3333 0.5000 x1
V: 0.3333 0.6667 0.0000 x1
Cl: 0.0741 0.4096 0.2175 x6

Record 3
For KTlZn2Cl8, the PBE geometry in Alexandria gives the simulated powder X-ray diffraction pattern in this record (λ = 1.5418 Å (Cu Kα)).

Most intense lines, 10° ≤ 2θ ≤ 80°, by angle:
2theta	intensity
16.87	34
17.23	100
19.91	42
23.58	51
24.40	38
24.52	53
28.26	60
31.03	36
31.69	30
47.81	35

Unit cell a=10.537 b=7.295 c=9.428 alpha=90.00 beta=93.97 gamma=90.00
Space group C2/m (No. 12)
Inequivalent atoms, fractional coordinates:
K: 0.000 0.000 0.000 x2
Tl: 0.000 0.000 0.500 x2
Zn: 0.133 0.500 0.282 x4
Cl: 0.009 0.249 0.707 x8
Cl: 0.205 0.500 0.069 x4
Cl: 0.250 0.000 0.503 x4

Record 4
For K2TmCl4, the PBE geometry in Alexandria gives the simulated powder X-ray diffraction pattern in this record (λ = 1.5418 Å (Cu Kα)).

Most intense lines, 10° ≤ 2θ ≤ 80°, by angle:
2theta	intensity
10.89	100
17.74	90
23.59	55
23.95	59
32.39	39
33.08	27
34.13	58
38.72	25
47.77	26
48.27	35

Unit cell a=5.254 b=5.254 c=16.248 alpha=90.00 beta=90.00 gamma=90.00
Space group I4/mmm (No. 139)
Inequivalent atoms, fractional coordinates:
K: 0.000 0.000 0.143 x4
Tm: 0.000 0.000 0.500 x2
Cl: 0.000 0.000 0.337 x4
Cl: 0.000 0.500 0.000 x4

Record 5
For K3UCl8, the PBE geometry in Alexandria gives the simulated powder X-ray diffraction pattern in this record (λ = 1.5418 Å (Cu Kα)).

Most intense lines, 10° ≤ 2θ ≤ 80°, by angle:
2theta	intensity
12.37	100
17.53	59
21.51	84
30.61	26
35.49	100
37.72	26
41.88	42
45.72	29
47.55	23
63.72	26

Unit cell a=7.155 b=7.155 c=7.155 alpha=90.00 beta=90.00 gamma=90.00
Space group Pm-3m (No. 221)
Inequivalent atoms, fractional coordinates:
K: 0.000 0.000 0.500 x3
U: 0.500 0.500 0.500 x1
Cl: 0.280 0.280 0.280 x8

Record 6
For KUCl14, the PBE geometry in Alexandria gives the simulated powder X-ray diffraction pattern in this record (λ = 1.5418 Å (Cu Kα)).

Most intense lines, 10° ≤ 2θ ≤ 80°, by angle:
2theta	intensity
10.71	54
11.59	60
13.94	100
17.43	27
17.58	17
18.60	24
22.15	18
23.46	19
28.18	23
35.26	21

Unit cell a=9.906 b=12.746 c=8.576 alpha=90.00 beta=105.62 gamma=90.00
Space group C2 (No. 5)
Inequivalent atoms, fractional coordinates:
K: 0.000 0.000 0.000 x2
U: 0.000 0.653 0.000 x2
Cl: 0.000 0.539 0.500 x2
Cl: 0.000 0.977 0.500 x2
Cl: 0.040 0.222 0.784 x4
Cl: 0.079 0.750 0.267 x4
Cl: 0.114 0.533 0.771 x4
Cl: 0.133 0.180 0.394 x4
Cl: 0.185 0.523 0.137 x4
Cl: 0.218 0.764 0.976 x4

What is the formula in the fifth record? K3UCl8